# 1
The following is a computed powder diffraction line list of LiW3. It was derived from a DFT-relaxed cell (PBE, the Materials Project), using copper Kα.

```
data_LiW3
_cell_length_a 3.9342
_cell_length_b 3.9342
_cell_length_c 3.9342
_cell_angle_alpha 90.00
_cell_angle_beta 90.00
_cell_angle_gamma 90.00
_space_group_name_H-M_alt 'P m -3 m'
_space_group_IT_number 221
_space_group_name_Hall '-P 4 2 3'
loop_
_atom_site_label
_atom_site_fract_x
_atom_site_fract_y
_atom_site_fract_z
Li1 0.0000 0.0000 0.0000
W1 0.0000 0.5000 0.5000
```

Most intense lines, 10° ≤ 2θ ≤ 90°, in order of rising 2θ:
| 2theta | I (rel.) |
| --- | --- |
| 22.60 | 33 |
| 32.18 | 27 |
| 39.68 | 100 |
| 46.15 | 49 |
| 51.97 | 14 |
| 57.37 | 11 |
| 67.32 | 32 |
| 72.01 | 7 |
| 81.07 | 39 |
| 85.50 | 11 |


# 2
The following is a computed powder diffraction line list of Lu3AlC. It was derived from a DFT-relaxed cell (PBE, the Materials Project), using copper Kα.

```
data_Lu3AlC
_cell_length_a 4.7476
_cell_length_b 4.7476
_cell_length_c 4.7476
_cell_angle_alpha 90.00
_cell_angle_beta 90.00
_cell_angle_gamma 90.00
_space_group_name_H-M_alt 'P m -3 m'
_space_group_IT_number 221
_space_group_name_Hall '-P 4 2 3'
loop_
_atom_site_label
_atom_site_fract_x
_atom_site_fract_y
_atom_site_fract_z
Lu1 0.0000 0.0000 0.5000
Al1 0.5000 0.5000 0.5000
C1 0.0000 0.0000 0.0000
```

Most intense lines, 10° ≤ 2θ ≤ 90°, in order of rising 2θ:
| 2theta | I (rel.) |
| --- | --- |
| 18.69 | 26 |
| 26.55 | 16 |
| 32.67 | 100 |
| 37.90 | 54 |
| 42.58 | 12 |
| 46.88 | 7 |
| 54.68 | 38 |
| 65.17 | 42 |
| 68.46 | 13 |
| 81.01 | 6 |


# 3
The following is a computed powder diffraction line list of Te2Pb3Cl2O6. It was derived from a DFT-relaxed cell (PBE, the Materials Project), using copper Kα.

```
data_Te2Pb3Cl2O6
_cell_length_a 16.7760
_cell_length_b 5.7066
_cell_length_c 11.1091
_cell_angle_alpha 90.00
_cell_angle_beta 103.89
_cell_angle_gamma 90.00
_space_group_name_H-M_alt 'C 1 2/m 1'
_space_group_IT_number 12
_space_group_name_Hall '-C 2y'
loop_
_atom_site_label
_atom_site_fract_x
_atom_site_fract_y
_atom_site_fract_z
Te1 0.1026 0.0000 0.0524
Te2 0.1283 0.5000 0.5931
Pb1 0.0211 0.5000 0.1999
Pb2 0.1620 0.0000 0.3926
Pb3 0.2388 0.0000 0.7975
Cl1 0.0412 0.0000 0.7010
Cl2 0.1828 0.5000 0.9001
O1 0.0000 0.2155 0.0000
O2 0.1043 0.5000 0.4185
O3 0.1322 0.2340 0.1848
O4 0.2098 0.2595 0.6149
```

Most intense lines, 10° ≤ 2θ ≤ 90°, in order of rising 2θ:
| 2theta | I (rel.) |
| --- | --- |
| 11.94 | 29 |
| 22.62 | 35 |
| 24.27 | 55 |
| 28.74 | 93 |
| 30.53 | 39 |
| 30.97 | 100 |
| 31.35 | 50 |
| 43.18 | 26 |
| 44.32 | 43 |
| 55.55 | 22 |